Entry 1:
For CuGeI2N, a PBE-relaxed structure gives the theoretical X-ray powder pattern in this record (Cu Kα (weighted mean of Kα1 and Kα2)).

Largest 10 diffraction maxima, by angle, 2θ = 10–90°:
- 23.99°, rel. 32
- 28.80°, rel. 26
- 31.71°, rel. 100
- 32.97°, rel. 78
- 40.15°, rel. 33
- 43.36°, rel. 17
- 45.46°, rel. 36
- 57.29°, rel. 31
- 59.66°, rel. 31
- 69.15°, rel. 20

```
data_CuGeI2N
_chemical_formula_sum 'Cu1 Ge1 I2 N1'
_space_group_name_H-M_alt 'P 4/m m m'
_space_group_IT_number 123
_space_group_name_Hall '-P 4 2'
_cell_length_a 5.6435
_cell_length_b 5.6435
_cell_length_c 3.7093
_cell_angle_alpha 90.00
_cell_angle_beta 90.00
_cell_angle_gamma 90.00
loop_
_atom_site_label
_atom_site_type_symbol
_atom_site_fract_x
_atom_site_fract_y
_atom_site_fract_z
_atom_site_occupancy
Cu1 Cu 0.0000 0.0000 0.0000 1
Ge1 Ge 0.5000 0.5000 0.5000 1
I1 I 0.0000 0.5000 0.0000 1
N1 N 0.0000 0.0000 0.5000 1
```

***

Entry 2:
For Cu5GeSe4I2, a PBE-relaxed structure gives the theoretical X-ray powder pattern in this record (Cu Kα (weighted mean of Kα1 and Kα2)).

Largest 10 diffraction maxima, by angle, 2θ = 10–90°:
- 12.11°, rel. 65
- 16.02°, rel. 20
- 23.56°, rel. 100
- 28.00°, rel. 89
- 34.14°, rel. 30
- 39.97°, rel. 16
- 45.60°, rel. 58
- 46.59°, rel. 17
- 51.95°, rel. 46
- 52.85°, rel. 20

```
data_Cu5GeSe4I2
_chemical_formula_sum 'Cu10 Ge2 Se8 I4'
_space_group_name_H-M_alt 'A m m 2'
_space_group_IT_number 38
_space_group_name_Hall 'A 2 -2'
_cell_length_a 7.7982
_cell_length_b 14.6204
_cell_length_c 5.9752
_cell_angle_alpha 90.00
_cell_angle_beta 90.00
_cell_angle_gamma 90.00
loop_
_atom_site_label
_atom_site_type_symbol
_atom_site_fract_x
_atom_site_fract_y
_atom_site_fract_z
_atom_site_occupancy
Cu1 Cu 0.0000 0.0000 0.0000 1
Cu2 Cu 0.2930 0.0944 0.4375 1
Ge1 Ge 0.5000 0.0000 0.9773 1
Se1 Se 0.2416 0.0000 0.7477 1
Se2 Se 0.5000 0.1430 0.1823 1
I1 I 0.0000 0.1463 0.2616 1
```

***

Entry 3:
For La2CuGe3Ir4, a PBE-relaxed structure gives the theoretical X-ray powder pattern in this record (Cu Kα (weighted mean of Kα1 and Kα2)).

Largest 10 diffraction maxima, by angle, 2θ = 10–90°:
- 31.04°, rel. 28
- 33.26°, rel. 54
- 34.49°, rel. 100
- 42.67°, rel. 69
- 46.05°, rel. 38
- 48.50°, rel. 28
- 55.15°, rel. 26
- 61.93°, rel. 23
- 72.85°, rel. 23
- 87.63°, rel. 24

```
data_La2CuGe3Ir4
_chemical_formula_sum 'La2 Cu1 Ge3 Ir4'
_space_group_name_H-M_alt 'P -4 m 2'
_space_group_IT_number 115
_space_group_name_Hall 'P -4 -2'
_cell_length_a 4.2382
_cell_length_b 4.2382
_cell_length_c 10.4667
_cell_angle_alpha 90.00
_cell_angle_beta 90.00
_cell_angle_gamma 90.00
loop_
_atom_site_label
_atom_site_type_symbol
_atom_site_fract_x
_atom_site_fract_y
_atom_site_fract_z
_atom_site_occupancy
La1 La 0.0000 0.5000 0.2439 1
Cu1 Cu 0.5000 0.5000 0.0000 1
Ge1 Ge 0.0000 0.0000 0.0000 1
Ge2 Ge 0.0000 0.5000 0.6285 1
Ir1 Ir 0.0000 0.0000 0.5000 1
Ir2 Ir 0.0000 0.5000 0.8663 1
Ir3 Ir 0.5000 0.5000 0.5000 1
```

***

Entry 4:
For Pa2CuGe3Ir4, a PBE-relaxed structure gives the theoretical X-ray powder pattern in this record (Cu Kα (weighted mean of Kα1 and Kα2)).

Largest 10 diffraction maxima, by angle, 2θ = 10–90°:
- 30.77°, rel. 13
- 31.96°, rel. 17
- 33.62°, rel. 53
- 35.30°, rel. 100
- 44.08°, rel. 55
- 48.66°, rel. 32
- 56.56°, rel. 24
- 64.10°, rel. 18
- 67.73°, rel. 24
- 75.35°, rel. 23

```
data_Pa2CuGe3Ir4
_chemical_formula_sum 'Pa2 Cu1 Ge3 Ir4'
_space_group_name_H-M_alt 'P -4 m 2'
_space_group_IT_number 115
_space_group_name_Hall 'P -4 -2'
_cell_length_a 4.1088
_cell_length_b 4.1088
_cell_length_c 10.5089
_cell_angle_alpha 90.00
_cell_angle_beta 90.00
_cell_angle_gamma 90.00
loop_
_atom_site_label
_atom_site_type_symbol
_atom_site_fract_x
_atom_site_fract_y
_atom_site_fract_z
_atom_site_occupancy
Pa1 Pa 0.0000 0.5000 0.2444 1
Cu1 Cu 0.5000 0.5000 0.0000 1
Ge1 Ge 0.0000 0.0000 0.0000 1
Ge2 Ge 0.0000 0.5000 0.6314 1
Ir1 Ir 0.0000 0.0000 0.5000 1
Ir2 Ir 0.0000 0.5000 0.8594 1
Ir3 Ir 0.5000 0.5000 0.5000 1
```

***

Entry 5:
For PmCu2GeIr, a PBE-relaxed structure gives the theoretical X-ray powder pattern in this record (Cu Kα (weighted mean of Kα1 and Kα2)).

Largest 10 diffraction maxima, by angle, 2θ = 10–90°:
- 23.36°, rel. 15
- 33.28°, rel. 31
- 33.69°, rel. 22
- 35.75°, rel. 100
- 44.50°, rel. 22
- 45.79°, rel. 21
- 46.48°, rel. 17
- 57.77°, rel. 13
- 61.08°, rel. 13
- 65.76°, rel. 14

```
data_PmCu2GeIr
_chemical_formula_sum 'Pm2 Cu4 Ge2 Ir2'
_space_group_name_H-M_alt 'I m m 2'
_space_group_IT_number 44
_space_group_name_Hall 'I 2 -2'
_cell_length_a 3.9629
_cell_length_b 4.0720
_cell_length_c 10.7671
_cell_angle_alpha 90.00
_cell_angle_beta 90.00
_cell_angle_gamma 90.00
loop_
_atom_site_label
_atom_site_type_symbol
_atom_site_fract_x
_atom_site_fract_y
_atom_site_fract_z
_atom_site_occupancy
Pm1 Pm 0.0000 0.0000 0.0000 1
Cu1 Cu 0.0000 0.0000 0.6000 1
Cu2 Cu 0.0000 0.5000 0.2421 1
Ge1 Ge 0.0000 0.0000 0.3749 1
Ir1 Ir 0.0000 0.5000 0.7414 1
```

***

Entry 6:
For K2Cu3Ge5O14, a PBE-relaxed structure gives the theoretical X-ray powder pattern in this record (Cu Kα (weighted mean of Kα1 and Kα2)).

Largest 10 diffraction maxima, by angle, 2θ = 10–90°:
- 12.41°, rel. 78
- 15.86°, rel. 28
- 17.91°, rel. 47
- 23.81°, rel. 26
- 26.49°, rel. 100
- 27.19°, rel. 27
- 32.04°, rel. 57
- 32.65°, rel. 47
- 34.10°, rel. 25
- 39.61°, rel. 23

```
data_K2Cu3Ge5O14
_chemical_formula_sum 'K2 Cu3 Ge5 O14'
_space_group_name_H-M_alt 'P -1'
_space_group_IT_number 2
_space_group_name_Hall '-P 1'
_cell_length_a 6.3802
_cell_length_b 7.3165
_cell_length_c 7.9886
_cell_angle_alpha 80.38
_cell_angle_beta 70.29
_cell_angle_gamma 78.86
loop_
_atom_site_label
_atom_site_type_symbol
_atom_site_fract_x
_atom_site_fract_y
_atom_site_fract_z
_atom_site_occupancy
K1 K 0.2246 0.4840 0.1620 1
Cu1 Cu 0.1561 0.9681 0.3276 1
Cu2 Cu 0.5000 0.0000 0.0000 1
Ge1 Ge 0.0000 0.0000 0.0000 1
Ge2 Ge 0.2858 0.7360 0.6864 1
Ge3 Ge 0.3282 0.2718 0.6976 1
O1 O 0.0772 0.1730 0.7798 1
O2 O 0.0978 0.8382 0.5666 1
O3 O 0.1836 0.0997 0.0920 1
O4 O 0.2260 0.5018 0.7674 1
O5 O 0.2672 0.8212 0.8847 1
O6 O 0.4245 0.2835 0.4564 1
O7 O 0.4446 0.8116 0.2168 1
```

***

Entry 7:
For La2CuGe3, a PBE-relaxed structure gives the theoretical X-ray powder pattern in this record (Cu Kα (weighted mean of Kα1 and Kα2)).

Largest 10 diffraction maxima, by angle, 2θ = 10–90°:
- 24.22°, rel. 9
- 31.76°, rel. 100
- 41.16°, rel. 15
- 42.53°, rel. 13
- 42.64°, rel. 27
- 54.07°, rel. 14
- 54.19°, rel. 7
- 60.73°, rel. 27
- 69.15°, rel. 10
- 71.26°, rel. 12

```
data_La2CuGe3
_chemical_formula_sum 'La16 Cu8 Ge24'
_space_group_name_H-M_alt 'F m m m'
_space_group_IT_number 69
_space_group_name_Hall '-F 2 2'
_cell_length_a 8.5024
_cell_length_b 8.7718
_cell_length_c 14.6763
_cell_angle_alpha 90.00
_cell_angle_beta 90.00
_cell_angle_gamma 90.00
loop_
_atom_site_label
_atom_site_type_symbol
_atom_site_fract_x
_atom_site_fract_y
_atom_site_fract_z
_atom_site_occupancy
La1 La 0.0000 0.2419 0.0000 1
La2 La 0.2500 0.2500 0.2500 1
Cu1 Cu 0.0000 0.0000 0.3335 1
Ge1 Ge 0.0000 0.0000 0.1710 1
Ge2 Ge 0.2398 0.0000 0.4145 1
```

***

Entry 8:
For La2Cu3Ni12Ge, a PBE-relaxed structure gives the theoretical X-ray powder pattern in this record (Cu Kα (weighted mean of Kα1 and Kα2)).

Largest 10 diffraction maxima, by angle, 2θ = 10–90°:
- 31.42°, rel. 100
- 35.00°, rel. 27
- 36.50°, rel. 47
- 37.14°, rel. 39
- 39.37°, rel. 41
- 44.84°, rel. 35
- 46.44°, rel. 43
- 53.62°, rel. 27
- 57.07°, rel. 33
- 61.34°, rel. 36

```
data_La2Cu3Ni12Ge
_chemical_formula_sum 'La6 Cu9 Ni36 Ge3'
_space_group_name_H-M_alt 'R -3 m'
_space_group_IT_number 166
_space_group_name_Hall '-R 3 2"'
_cell_length_a 6.0450
_cell_length_b 6.0450
_cell_length_c 25.4481
_cell_angle_alpha 90.00
_cell_angle_beta 90.00
_cell_angle_gamma 120.00
loop_
_atom_site_label
_atom_site_type_symbol
_atom_site_fract_x
_atom_site_fract_y
_atom_site_fract_z
_atom_site_occupancy
La1 La 0.0000 0.0000 0.1545 1
Cu1 Cu 0.0000 0.5000 0.0000 1
Ni1 Ni 0.0559 0.5279 0.0948 1
Ni2 Ni 0.0746 0.5373 0.6160 1
Ge1 Ge 0.0000 0.0000 0.5000 1
```